# La2Si2PbSe8
Simulated X-ray powder pattern, λ = 1.5418 Å (Cu Kα). Input: a PBE-relaxed structure.
Peak positions follow from Bragg's law for the DFT cell and can differ from measured ones.

Principal peaks in the range 2θ = 10–90°, sorted by position:
| 2θ/deg | intensity | (hkl) |
| --- | --- | --- |
| 20.60 | 47 | 3 1 0 |
| 20.84 | 48 | 0 2 1 |
| 32.49 | 100 | 3 3 -1 |
| 33.58 | 58 | 3 1 2 |
| 34.02 | 55 | 0 2 3 |
| 34.45 | 52 | 3 1 -4 |

```
data_La2Si2PbSe8
_chemical_formula_sum 'La8 Si8 Pb4 Se32'
_cell_length_a 16.548
_cell_length_b 9.543
_cell_length_c 10.824
_cell_angle_alpha 90.00
_cell_angle_beta 118.84
_cell_angle_gamma 90.00
_symmetry_space_group_name_H-M 'C 1 c 1'
_symmetry_Int_Tables_number 9
loop_
_symmetry_equiv_pos_as_xyz
'x,y,z'
'x,-y,z+1/2'
'x+1/2,y+1/2,z'
'x+1/2,-y+1/2,z+1/2'
loop_
_atom_site_label
_atom_site_type_symbol
_atom_site_fract_x
_atom_site_fract_y
_atom_site_fract_z
La1 La 0.000 0.058 0.000
La2 La 0.343 0.096 0.994
Si1 Si 0.088 0.241 0.768
Si2 Si 0.408 0.244 0.724
Pb1 Pb 0.158 0.411 0.496
Se1 Se 0.054 0.165 0.314
Se2 Se 0.069 0.460 0.672
Se3 Se 0.167 0.238 0.009
Se4 Se 0.170 0.102 0.694
Se5 Se 0.332 0.377 0.813
Se6 Se 0.340 0.246 0.483
Se7 Se 0.410 0.016 0.793
Se8 Se 0.442 0.346 0.190
```



# PrMgPt
Simulated X-ray powder pattern, λ = 1.5418 Å (Cu Kα). Input: a PBE-relaxed structure.
Peak positions follow from Bragg's law for the DFT cell and can differ from measured ones.

Principal peaks in the range 2θ = 10–90°, sorted by position:
| 2θ/deg | intensity | (hkl) |
| --- | --- | --- |
| 23.34 | 57 | 1 1 0 |
| 25.30 | 31 | 1 0 1 |
| 31.85 | 62 | 1 1 1 |
| 34.70 | 100 | 2 0 1 |
| 41.03 | 40 | 3 0 0 |
| 42.24 | 39 | 2 1 1 |

```
data_PrMgPt
_chemical_formula_sum 'Pr3 Mg3 Pt3'
_cell_length_a 7.6210
_cell_length_b 7.6210
_cell_length_c 4.1606
_cell_angle_alpha 90.00
_cell_angle_beta 90.00
_cell_angle_gamma 120.00
_symmetry_space_group_name_H-M 'P -6 2 m'
_symmetry_Int_Tables_number 189
_symmetry_space_group_name_Hall 'P -6 -2'
loop_
_atom_site_label
_atom_site_type_symbol
_atom_site_fract_x
_atom_site_fract_y
_atom_site_fract_z
Pr1 Pr 0.0000 0.5881 0.0000
Mg1 Mg 0.0000 0.2396 0.5000
Pt1 Pt 0.0000 0.0000 0.0000
Pt2 Pt 0.3333 0.6667 0.5000
```



# SrBiIO2
Simulated X-ray powder pattern, λ = 1.5418 Å (Cu Kα). Input: a PBE-relaxed structure.
Peak positions follow from Bragg's law for the DFT cell and can differ from measured ones.

Principal peaks in the range 2θ = 10–90°, sorted by position:
| 2θ/deg | intensity | (hkl) |
| --- | --- | --- |
| 28.87 | 100 | 1 3 1 |
| 30.03 | 23 | 2 0 0 |
| 30.71 | 18 | 0 0 2 |
| 43.49 | 20 | 2 0 2 |
| 52.61 | 21 | 3 3 1 |
| 53.46 | 18 | 1 3 3 |

```
data_SrBiIO2
_chemical_formula_sum 'Sr4 Bi4 I4 O8'
_cell_length_a 5.950
_cell_length_b 13.867
_cell_length_c 5.823
_cell_angle_alpha 90.00
_cell_angle_beta 90.00
_cell_angle_gamma 90.00
_symmetry_space_group_name_H-M 'C m c m'
_symmetry_Int_Tables_number 63
_symmetry_space_group_name_Hall '-C 2c 2'
loop_
_atom_site_label
_atom_site_type_symbol
_atom_site_fract_x
_atom_site_fract_y
_atom_site_fract_z
Sr1 Sr 0.000 0.093 0.250
Bi1 Bi 0.000 0.427 0.250
I1 I 0.000 0.245 0.750
O1 O 0.233 0.500 0.000
```



# Rb2ErCuCl6
Simulated X-ray powder pattern, λ = 1.5418 Å (Cu Kα). Input: a PBE-relaxed structure.
Peak positions follow from Bragg's law for the DFT cell and can differ from measured ones.

Principal peaks in the range 2θ = 10–90°, sorted by position:
| 2θ/deg | intensity | (hkl) |
| --- | --- | --- |
| 24.30 | 100 | 2 2 0 |
| 34.63 | 70 | 4 0 0 |
| 42.76 | 46 | 4 2 2 |
| 49.79 | 47 | 4 4 0 |
| 56.15 | 21 | 6 2 0 |
| 67.67 | 24 | 6 4 2 |

```
data_Rb2ErCuCl6
_chemical_formula_sum 'Rb8 Er4 Cu4 Cl24'
_cell_length_a 10.360
_cell_length_b 10.360
_cell_length_c 10.360
_cell_angle_alpha 90.00
_cell_angle_beta 90.00
_cell_angle_gamma 90.00
_symmetry_space_group_name_H-M 'F m -3 m'
_symmetry_Int_Tables_number 225
_symmetry_space_group_name_Hall '-F 4 2 3'
loop_
_atom_site_label
_atom_site_type_symbol
_atom_site_fract_x
_atom_site_fract_y
_atom_site_fract_z
Rb1 Rb 0.250 0.250 0.250
Er1 Er 0.000 0.000 0.000
Cu1 Cu 0.000 0.000 0.500
Cl1 Cl 0.000 0.000 0.252
```



> Number 1 is which compound?

La2Si2PbSe8